Record 1
This entry pairs a crystal structure of TePSe2 with its theoretical XRD peak list. Radiation: copper Kα. Structure: a PBE-relaxed structure.
Kinematic intensities with the Lorentz-polarization factor, no thermal factor.

The 10 most intense peaks (10 to 80 degrees two-theta), by angle:
Position (°2θ), I/Imax
25.1, 72.1
29.6, 42.5
30.2, 100.0
33.3, 50.4
34.8, 25.4
35.6, 27.0
40.8, 24.5
47.8, 20.1
49.9, 28.5
55.4, 22.6

Cell and atoms:
```
data_TePSe2
_cell_length_a 5.379
_cell_length_b 3.574
_cell_length_c 5.713
_cell_angle_alpha 90.00
_cell_angle_beta 100.24
_cell_angle_gamma 90.00
_symmetry_space_group_name_H-M 'P 1'
_symmetry_Int_Tables_number 1
_symmetry_space_group_name_Hall 'P 1'
loop_
_atom_site_label
_atom_site_type_symbol
_atom_site_fract_x
_atom_site_fract_y
_atom_site_fract_z
_atom_site_occupancy
Te1 Te 0.000 0.000 0.000 1
P1 P 0.413 0.500 0.257 1
Se1 Se 0.323 0.500 0.614 1
Se2 Se 0.765 0.000 0.350 1
```

***

Record 2
This entry pairs a crystal structure of TePSe with its theoretical XRD peak list. Radiation: copper Kα. Structure: a PBE-relaxed structure.
Kinematic intensities with the Lorentz-polarization factor, no thermal factor.

The 10 most intense peaks (10 to 80 degrees two-theta), by angle:
Position (°2θ), I/Imax
17.7, 64.4
23.2, 83.0
23.8, 100.0
25.6, 52.6
26.2, 59.0
30.0, 68.0
34.1, 32.3
34.6, 45.2
35.8, 51.3
44.4, 39.9

Cell and atoms:
```
data_TePSe
_cell_length_a 5.081
_cell_length_b 5.546
_cell_length_c 7.317
_cell_angle_alpha 69.47
_cell_angle_beta 81.30
_cell_angle_gamma 83.11
_symmetry_space_group_name_H-M 'P 1'
_symmetry_Int_Tables_number 1
_symmetry_space_group_name_Hall 'P 1'
loop_
_atom_site_label
_atom_site_type_symbol
_atom_site_fract_x
_atom_site_fract_y
_atom_site_fract_z
_atom_site_occupancy
Te1 Te 0.000 0.000 0.000 1
Te2 Te 0.204 0.524 0.943 1
P1 P 0.153 0.924 0.337 1
P2 P 0.449 0.259 0.235 1
Se1 Se 0.415 0.524 0.419 1
Se2 Se 0.841 0.931 0.573 1
```

***

Record 3
This entry pairs a crystal structure of TePSe with its theoretical XRD peak list. Radiation: copper Kα. Structure: a PBE-relaxed structure.
Kinematic intensities with the Lorentz-polarization factor, no thermal factor.

The 10 most intense peaks (10 to 80 degrees two-theta), by angle:
Position (°2θ), I/Imax
19.6, 35.2
20.3, 33.7
22.1, 100.0
27.6, 81.3
28.0, 66.2
31.6, 39.8
34.3, 63.2
37.6, 44.9
38.8, 39.8
48.3, 34.4

Cell and atoms:
```
data_TePSe
_cell_length_a 5.449
_cell_length_b 6.128
_cell_length_c 6.784
_cell_angle_alpha 68.55
_cell_angle_beta 80.62
_cell_angle_gamma 68.40
_symmetry_space_group_name_H-M 'P 1'
_symmetry_Int_Tables_number 1
_symmetry_space_group_name_Hall 'P 1'
loop_
_atom_site_label
_atom_site_type_symbol
_atom_site_fract_x
_atom_site_fract_y
_atom_site_fract_z
_atom_site_occupancy
Te1 Te 0.000 0.000 0.000 1
Te2 Te 0.278 0.267 0.567 1
P1 P 0.409 0.514 0.732 1
P2 P 0.505 0.215 0.046 1
Se1 Se 0.577 0.441 0.219 1
Se2 Se 0.970 0.716 0.795 1
```

***

Record 4
This entry pairs a crystal structure of Tm8Te4PSe3 with its theoretical XRD peak list. Radiation: copper Kα. Structure: a PBE-relaxed structure.
Kinematic intensities with the Lorentz-polarization factor, no thermal factor.

The 10 most intense peaks (10 to 80 degrees two-theta), by angle:
Position (°2θ), I/Imax
26.4, 10.2
30.4, 100.0
33.1, 10.9
43.2, 31.1
43.9, 38.3
54.4, 18.9
60.3, 8.5
63.3, 9.7
71.2, 9.4
72.4, 15.7

Cell and atoms:
```
data_Tm8Te4PSe3
_cell_length_a 8.388
_cell_length_b 8.388
_cell_length_c 8.388
_cell_angle_alpha 58.88
_cell_angle_beta 58.88
_cell_angle_gamma 58.88
_symmetry_space_group_name_H-M 'P 1'
_symmetry_Int_Tables_number 1
_symmetry_space_group_name_Hall 'P 1'
loop_
_atom_site_label
_atom_site_type_symbol
_atom_site_fract_x
_atom_site_fract_y
_atom_site_fract_z
_atom_site_occupancy
Tm1 Tm 0.238 0.238 0.238 1
Tm2 Tm 0.252 0.729 0.729 1
Tm3 Tm 0.271 0.271 0.748 1
Tm4 Tm 0.271 0.748 0.271 1
Tm5 Tm 0.729 0.252 0.729 1
Tm6 Tm 0.729 0.729 0.252 1
Tm7 Tm 0.748 0.271 0.271 1
Tm8 Tm 0.762 0.762 0.762 1
Te1 Te 0.000 0.000 0.000 1
Te2 Te 0.000 0.500 0.500 1
Te3 Te 0.500 0.000 0.500 1
Te4 Te 0.500 0.500 0.000 1
P1 P 0.500 0.500 0.500 1
Se1 Se 0.000 0.000 0.500 1
Se2 Se 0.000 0.500 0.000 1
Se3 Se 0.500 0.000 0.000 1
```

***

Record 5
This entry pairs a crystal structure of Tm6Te3P2Se with its theoretical XRD peak list. Radiation: copper Kα. Structure: a PBE-relaxed structure.
Kinematic intensities with the Lorentz-polarization factor, no thermal factor.

The 10 most intense peaks (10 to 80 degrees two-theta), by angle:
Position (°2θ), I/Imax
25.5, 7.2
26.6, 14.4
30.5, 100.0
33.2, 15.1
43.2, 30.6
44.3, 37.5
54.8, 12.6
60.5, 10.8
71.3, 8.9
73.0, 9.4

Cell and atoms:
```
data_Tm6Te3P2Se
_cell_length_a 9.337
_cell_length_b 9.337
_cell_length_c 8.393
_cell_angle_alpha 104.95
_cell_angle_beta 104.95
_cell_angle_gamma 25.25
_symmetry_space_group_name_H-M 'P 1'
_symmetry_Int_Tables_number 1
_symmetry_space_group_name_Hall 'P 1'
loop_
_atom_site_label
_atom_site_type_symbol
_atom_site_fract_x
_atom_site_fract_y
_atom_site_fract_z
_atom_site_occupancy
Tm1 Tm 0.015 0.015 0.242 1
Tm2 Tm 0.323 0.323 0.440 1
Tm3 Tm 0.334 0.334 0.881 1
Tm4 Tm 0.666 0.666 0.119 1
Tm5 Tm 0.677 0.677 0.560 1
Tm6 Tm 0.985 0.985 0.758 1
Te1 Te 0.162 0.162 0.834 1
Te2 Te 0.500 0.500 0.500 1
Te3 Te 0.838 0.838 0.166 1
P1 P 0.168 0.168 0.335 1
P2 P 0.832 0.832 0.665 1
Se1 Se 0.500 0.500 0.000 1
```

***

Record 6
This entry pairs a crystal structure of ThP2Se6 with its theoretical XRD peak list. Radiation: copper Kα. Structure: a PBE-relaxed structure.
Kinematic intensities with the Lorentz-polarization factor, no thermal factor.

The 10 most intense peaks (10 to 80 degrees two-theta), by angle:
Position (°2θ), I/Imax
11.8, 62.0
15.6, 48.5
17.0, 27.8
21.9, 29.5
28.9, 100.0
31.5, 24.8
35.5, 18.2
35.7, 49.9
45.1, 26.7
46.4, 26.5

Cell and atoms:
```
data_ThP2Se6
_cell_length_a 8.445
_cell_length_b 8.445
_cell_length_c 8.445
_cell_angle_alpha 47.33
_cell_angle_beta 47.33
_cell_angle_gamma 47.33
_symmetry_space_group_name_H-M 'P 1'
_symmetry_Int_Tables_number 1
_symmetry_space_group_name_Hall 'P 1'
loop_
_atom_site_label
_atom_site_type_symbol
_atom_site_fract_x
_atom_site_fract_y
_atom_site_fract_z
_atom_site_occupancy
Th1 Th 0.000 0.000 0.000 1
P1 P 0.271 0.271 0.271 1
P2 P 0.371 0.371 0.371 1
Se1 Se 0.063 0.449 0.684 1
Se2 Se 0.180 0.963 0.579 1
Se3 Se 0.449 0.684 0.063 1
Se4 Se 0.579 0.180 0.963 1
Se5 Se 0.684 0.063 0.449 1
Se6 Se 0.963 0.579 0.180 1
```

***

Record 7
This entry pairs a crystal structure of Tl3PSe4 with its theoretical XRD peak list. Radiation: copper Kα. Structure: a PBE-relaxed structure.
Kinematic intensities with the Lorentz-polarization factor, no thermal factor.

The 10 most intense peaks (10 to 80 degrees two-theta), by angle:
Position (°2θ), I/Imax
19.1, 33.2
21.1, 95.9
23.7, 43.5
28.2, 100.0
31.7, 74.6
33.6, 40.0
34.6, 32.5
35.5, 49.7
37.3, 33.4
40.8, 33.6

Cell and atoms:
```
data_Tl3PSe4
_cell_length_a 9.458
_cell_length_b 9.299
_cell_length_c 6.328
_cell_angle_alpha 90.00
_cell_angle_beta 90.00
_cell_angle_gamma 90.00
_symmetry_space_group_name_H-M 'P 1'
_symmetry_Int_Tables_number 1
_symmetry_space_group_name_Hall 'P 1'
loop_
_atom_site_label
_atom_site_type_symbol
_atom_site_fract_x
_atom_site_fract_y
_atom_site_fract_z
_atom_site_occupancy
Tl1 Tl 0.000 0.107 0.000 1
Tl2 Tl 0.195 0.321 0.501 1
Tl3 Tl 0.305 0.679 0.001 1
Tl4 Tl 0.500 0.893 0.500 1
Tl5 Tl 0.695 0.679 0.001 1
Tl6 Tl 0.805 0.321 0.501 1
P1 P 0.000 0.784 0.395 1
P2 P 0.500 0.216 0.895 1
Se1 Se 0.000 0.014 0.495 1
Se2 Se 0.000 0.774 0.038 1
Se3 Se 0.198 0.676 0.503 1
Se4 Se 0.302 0.324 0.003 1
Se5 Se 0.500 0.226 0.538 1
Se6 Se 0.500 0.986 0.995 1
Se7 Se 0.698 0.324 0.003 1
Se8 Se 0.802 0.676 0.503 1
```

***

Record 8
This entry pairs a crystal structure of Tl3PSe4 with its theoretical XRD peak list. Radiation: copper Kα. Structure: a PBE-relaxed structure.
Kinematic intensities with the Lorentz-polarization factor, no thermal factor.

The 10 most intense peaks (10 to 80 degrees two-theta), by angle:
Position (°2θ), I/Imax
21.2, 47.0
25.5, 38.6
29.1, 40.8
30.6, 100.0
31.2, 30.4
32.0, 44.1
33.7, 47.6
37.7, 31.3
38.0, 30.8
39.8, 30.5

Cell and atoms:
```
data_Tl3PSe4
_cell_length_a 9.334
_cell_length_b 11.239
_cell_length_c 9.561
_cell_angle_alpha 90.00
_cell_angle_beta 90.00
_cell_angle_gamma 90.00
_symmetry_space_group_name_H-M 'P 1'
_symmetry_Int_Tables_number 1
_symmetry_space_group_name_Hall 'P 1'
loop_
_atom_site_label
_atom_site_type_symbol
_atom_site_fract_x
_atom_site_fract_y
_atom_site_fract_z
_atom_site_occupancy
Tl1 Tl 0.065 0.052 0.194 1
Tl2 Tl 0.065 0.448 0.194 1
Tl3 Tl 0.105 0.750 0.391 1
Tl4 Tl 0.395 0.250 0.891 1
Tl5 Tl 0.435 0.552 0.694 1
Tl6 Tl 0.435 0.948 0.694 1
Tl7 Tl 0.565 0.052 0.306 1
Tl8 Tl 0.565 0.448 0.306 1
Tl9 Tl 0.605 0.750 0.109 1
Tl10 Tl 0.895 0.250 0.609 1
Tl11 Tl 0.935 0.552 0.806 1
Tl12 Tl 0.935 0.948 0.806 1
P1 P 0.221 0.750 0.973 1
P2 P 0.279 0.250 0.473 1
P3 P 0.721 0.750 0.527 1
P4 P 0.779 0.250 0.027 1
Se1 Se 0.003 0.750 0.068 1
Se2 Se 0.157 0.087 0.532 1
Se3 Se 0.157 0.413 0.532 1
Se4 Se 0.192 0.750 0.738 1
Se5 Se 0.308 0.250 0.238 1
Se6 Se 0.343 0.587 0.032 1
Se7 Se 0.343 0.913 0.032 1
Se8 Se 0.497 0.250 0.568 1
Se9 Se 0.503 0.750 0.432 1
Se10 Se 0.657 0.087 0.968 1
Se11 Se 0.657 0.413 0.968 1
Se12 Se 0.692 0.750 0.762 1
Se13 Se 0.808 0.250 0.262 1
Se14 Se 0.843 0.587 0.468 1
Se15 Se 0.843 0.913 0.468 1
Se16 Se 0.997 0.250 0.932 1
```

***

Record 9
This entry pairs a crystal structure of Tl4PSe6 with its theoretical XRD peak list. Radiation: copper Kα. Structure: a PBE-relaxed structure.
Kinematic intensities with the Lorentz-polarization factor, no thermal factor.

The 10 most intense peaks (10 to 80 degrees two-theta), by angle:
Position (°2θ), I/Imax
20.9, 100.0
22.1, 51.1
23.6, 64.4
24.4, 41.8
27.8, 36.6
28.1, 41.9
34.2, 39.5
34.4, 52.5
36.3, 44.0
44.7, 41.5

Cell and atoms:
```
data_Tl4PSe6
_cell_length_a 8.819
_cell_length_b 8.819
_cell_length_c 14.934
_cell_angle_alpha 118.57
_cell_angle_beta 118.57
_cell_angle_gamma 48.83
_symmetry_space_group_name_H-M 'P 1'
_symmetry_Int_Tables_number 1
_symmetry_space_group_name_Hall 'P 1'
loop_
_atom_site_label
_atom_site_type_symbol
_atom_site_fract_x
_atom_site_fract_y
_atom_site_fract_z
_atom_site_occupancy
Tl1 Tl 0.114 0.886 0.500 1
Tl2 Tl 0.225 0.513 0.029 1
Tl3 Tl 0.343 0.783 0.805 1
Tl4 Tl 0.500 0.985 0.149 1
Tl5 Tl 0.513 0.225 0.529 1
Tl6 Tl 0.783 0.343 0.305 1
Tl7 Tl 0.886 0.114 0.000 1
Tl8 Tl 0.985 0.500 0.649 1
P1 P 0.010 0.508 0.249 1
P2 P 0.508 0.010 0.749 1
Se1 Se 0.134 0.676 0.591 1
Se2 Se 0.190 0.642 0.298 1
Se3 Se 0.197 0.210 0.293 1
Se4 Se 0.210 0.197 0.793 1
Se5 Se 0.266 0.783 0.975 1
Se6 Se 0.457 0.917 0.573 1
Se7 Se 0.642 0.190 0.798 1
Se8 Se 0.676 0.134 0.091 1
Se9 Se 0.731 0.732 0.815 1
Se10 Se 0.732 0.731 0.315 1
Se11 Se 0.783 0.266 0.475 1
Se12 Se 0.917 0.457 0.073 1
```

***

Record 10
This entry pairs a crystal structure of TmP2Se6 with its theoretical XRD peak list. Radiation: copper Kα. Structure: a PBE-relaxed structure.
Kinematic intensities with the Lorentz-polarization factor, no thermal factor.

The 10 most intense peaks (10 to 80 degrees two-theta), by angle:
Position (°2θ), I/Imax
11.7, 38.8
16.0, 28.8
17.4, 21.7
23.6, 16.3
29.6, 100.0
36.2, 42.3
45.4, 27.6
47.8, 30.0
57.2, 13.9
70.3, 13.0

Cell and atoms:
```
data_TmP2Se6
_cell_length_a 8.454
_cell_length_b 8.454
_cell_length_c 8.454
_cell_angle_alpha 45.87
_cell_angle_beta 45.87
_cell_angle_gamma 45.87
_symmetry_space_group_name_H-M 'P 1'
_symmetry_Int_Tables_number 1
_symmetry_space_group_name_Hall 'P 1'
loop_
_atom_site_label
_atom_site_type_symbol
_atom_site_fract_x
_atom_site_fract_y
_atom_site_fract_z
_atom_site_occupancy
Tm1 Tm 0.000 0.000 0.000 1
P1 P 0.616 0.616 0.616 1
P2 P 0.718 0.718 0.718 1
Se1 Se 0.057 0.764 0.421 1
Se2 Se 0.261 0.600 0.898 1
Se3 Se 0.421 0.057 0.764 1
Se4 Se 0.600 0.898 0.261 1
Se5 Se 0.764 0.421 0.057 1
Se6 Se 0.898 0.261 0.600 1
```

***

Record 11
This entry pairs a crystal structure of U8P3Se5 with its theoretical XRD peak list. Radiation: copper Kα. Structure: a PBE-relaxed structure.
Kinematic intensities with the Lorentz-polarization factor, no thermal factor.

The 10 most intense peaks (10 to 80 degrees two-theta), by angle:
Position (°2θ), I/Imax
27.1, 47.5
27.7, 14.6
31.6, 100.0
44.8, 38.6
45.6, 35.4
53.5, 15.2
55.9, 20.1
65.9, 12.1
74.3, 17.8
75.5, 16.0

Cell and atoms:
```
data_U8P3Se5
_cell_length_a 7.955
_cell_length_b 7.955
_cell_length_c 7.955
_cell_angle_alpha 61.10
_cell_angle_beta 61.10
_cell_angle_gamma 61.10
_symmetry_space_group_name_H-M 'P 1'
_symmetry_Int_Tables_number 1
_symmetry_space_group_name_Hall 'P 1'
loop_
_atom_site_label
_atom_site_type_symbol
_atom_site_fract_x
_atom_site_fract_y
_atom_site_fract_z
_atom_site_occupancy
U1 U 0.238 0.750 0.750 1
U2 U 0.244 0.244 0.244 1
U3 U 0.250 0.250 0.762 1
U4 U 0.250 0.762 0.250 1
U5 U 0.750 0.238 0.750 1
U6 U 0.750 0.750 0.238 1
U7 U 0.756 0.756 0.756 1
U8 U 0.762 0.250 0.250 1
P1 P 0.000 0.000 0.500 1
P2 P 0.000 0.500 0.000 1
P3 P 0.500 0.000 0.000 1
Se1 Se 0.000 0.000 0.000 1
Se2 Se 0.000 0.500 0.500 1
Se3 Se 0.500 0.000 0.500 1
Se4 Se 0.500 0.500 0.000 1
Se5 Se 0.500 0.500 0.500 1
```

***

Record 12
This entry pairs a crystal structure of U3PSe3 with its theoretical XRD peak list. Radiation: copper Kα. Structure: a PBE-relaxed structure.
Kinematic intensities with the Lorentz-polarization factor, no thermal factor.

The 10 most intense peaks (10 to 80 degrees two-theta), by angle:
Position (°2θ), I/Imax
13.5, 37.7
26.2, 19.6
27.1, 27.3
27.4, 25.8
31.4, 51.7
31.7, 100.0
45.0, 19.1
45.2, 75.4
55.9, 20.3
74.6, 26.6

Cell and atoms:
```
data_U3PSe3
_cell_length_a 8.028
_cell_length_b 8.028
_cell_length_c 8.028
_cell_angle_alpha 120.76
_cell_angle_beta 119.80
_cell_angle_gamma 89.52
_symmetry_space_group_name_H-M 'P 1'
_symmetry_Int_Tables_number 1
_symmetry_space_group_name_Hall 'P 1'
loop_
_atom_site_label
_atom_site_type_symbol
_atom_site_fract_x
_atom_site_fract_y
_atom_site_fract_z
_atom_site_occupancy
U1 U 0.000 0.238 0.238 1
U2 U 0.000 0.762 0.762 1
U3 U 0.499 0.249 0.250 1
U4 U 0.500 0.238 0.738 1
U5 U 0.500 0.762 0.262 1
U6 U 0.501 0.751 0.750 1
P1 P 0.254 0.004 0.250 1
P2 P 0.746 0.996 0.750 1
Se1 Se 0.240 0.000 0.740 1
Se2 Se 0.240 0.500 0.240 1
Se3 Se 0.244 0.494 0.750 1
Se4 Se 0.756 0.506 0.250 1
Se5 Se 0.760 0.000 0.260 1
Se6 Se 0.760 0.500 0.760 1
```

***

Record 13
This entry pairs a crystal structure of U2PSe2 with its theoretical XRD peak list. Radiation: copper Kα. Structure: a PBE-relaxed structure.
Kinematic intensities with the Lorentz-polarization factor, no thermal factor.

The 10 most intense peaks (10 to 80 degrees two-theta), by angle:
Position (°2θ), I/Imax
22.5, 100.0
24.1, 29.4
31.1, 22.1
32.4, 53.1
35.9, 24.7
36.0, 43.1
36.3, 26.3
43.7, 23.6
45.8, 46.8
67.8, 30.3

Cell and atoms:
```
data_U2PSe2
_cell_length_a 6.751
_cell_length_b 6.751
_cell_length_c 9.999
_cell_angle_alpha 90.00
_cell_angle_beta 90.00
_cell_angle_gamma 146.80
_symmetry_space_group_name_H-M 'P 1'
_symmetry_Int_Tables_number 1
_symmetry_space_group_name_Hall 'P 1'
loop_
_atom_site_label
_atom_site_type_symbol
_atom_site_fract_x
_atom_site_fract_y
_atom_site_fract_z
_atom_site_occupancy
U1 U 0.008 0.992 0.500 1
U2 U 0.242 0.758 0.737 1
U3 U 0.758 0.242 0.237 1
U4 U 0.992 0.008 0.000 1
P1 P 0.356 0.644 0.076 1
P2 P 0.644 0.356 0.576 1
Se1 Se 0.094 0.906 0.245 1
Se2 Se 0.354 0.646 0.426 1
Se3 Se 0.646 0.354 0.926 1
Se4 Se 0.906 0.094 0.745 1
```